Computed X-ray diffraction stick pattern of Nd2Er4Ge3O2 for Cu Kα, 1.54184 Å, from the GGA-PBE geometry in Alexandria.
Lines closer than 0.1° are merged.

The 8 most intense peaks (2θ from 10° to 90°), low angle first:
- 2θ = 28.84°, I = 654
- 2θ = 29.75°, I = 235
- 2θ = 32.74°, I = 185
- 2θ = 35.90°, I = 1000
- 2θ = 39.79°, I = 600
- 2θ = 50.47°, I = 217
- 2θ = 57.54°, I = 202
- 2θ = 69.71°, I = 319

Atomic structure:
```
data_Nd2Er4Ge3O2
_symmetry_space_group_name_H-M 'P 1'
_symmetry_Int_Tables_number 1
_symmetry_space_group_name_Hall 'P 1'
_cell_length_a 12.4315
_cell_length_b 12.4315
_cell_length_c 12.4315
_cell_angle_alpha 159.00
_cell_angle_beta 159.00
_cell_angle_gamma 29.87
loop_
_atom_site_label
_atom_site_type_symbol
_atom_site_fract_x
_atom_site_fract_y
_atom_site_fract_z
_atom_site_occupancy
Nd1 Nd 0.1978 0.1978 0.0000 1
Nd2 Nd 0.8022 0.8022 0.0000 1
Er1 Er 0.0793 0.5793 0.5000 1
Er2 Er 0.4207 0.9207 0.5000 1
Er3 Er 0.5793 0.0793 0.5000 1
Er4 Er 0.9207 0.4207 0.5000 1
Ge1 Ge 0.3288 0.3288 0.0000 1
Ge2 Ge 0.5000 0.5000 0.0000 1
Ge3 Ge 0.6712 0.6712 0.0000 1
O1 O 0.0898 0.0898 0.0000 1
O2 O 0.9102 0.9102 0.0000 1
```